# MgTi2Mn2O6
Simulated X-ray powder pattern, Cu Kα X-rays. Input: a crystal structure in the Materials Project, relaxed with GGA+U.
No peak broadening, texture or thermal motion is included.

The 12 most intense peaks (2θ from 10° to 90°), low angle first:
- 12.29 deg, I 416
- 23.00 deg, I 859
- 29.81 deg, I 575
- 33.09 deg, I 537
- 33.72 deg, I 1000
- 34.31 deg, I 643
- 35.41 deg, I 437
- 36.83 deg, I 331
- 46.21 deg, I 411
- 58.15 deg, I 358
- 60.01 deg, I 343
- 61.89 deg, I 333

Lattice parameters (Å, degrees): 3.0838 6.2002 7.7658 105.87 100.38 104.39
Element x y z (fractional)
1 Mg 0.0000 0.0000 0.0000
2 Ti 0.1701 0.4983 0.8178
3 Ti 0.7335 0.8234 0.6039
4 Mn 0.3263 0.1621 0.4265
5 Mn 0.8260 0.4739 0.1820
6 O 0.1206 0.7584 0.4256
7 O 0.1668 0.3274 0.9935
8 O 0.3493 0.8734 0.8012
9 O 0.5902 0.5061 0.6332
10 O 0.8256 0.6597 0.9817
11 O 0.9108 0.1517 0.6284

---

# MgTiMn3O8
Simulated X-ray powder pattern, Cu Kα X-rays. Input: a crystal structure in the Materials Project, relaxed with GGA+U.
No peak broadening, texture or thermal motion is included.

The 12 most intense peaks (2θ from 10° to 90°), low angle first:
- 17.84 deg, I 1000
- 18.20 deg, I 72
- 33.82 deg, I 115
- 36.09 deg, I 250
- 36.90 deg, I 111
- 39.98 deg, I 284
- 43.93 deg, I 439
- 52.73 deg, I 60
- 57.59 deg, I 91
- 60.33 deg, I 123
- 61.45 deg, I 137
- 64.29 deg, I 61

Lattice parameters (Å, degrees): 6.0598 6.0598 5.8660 117.79 117.79 57.13
Element x y z (fractional)
1 Mg 0.0000 0.0000 0.0000
2 Ti 0.5000 0.5000 0.5000
3 Mn 0.0000 0.0000 0.5000
4 Mn 0.0000 0.5000 0.5000
5 Mn 0.5000 0.0000 0.5000
6 O 0.2133 0.2133 0.6804
7 O 0.2418 0.7551 0.7246
8 O 0.2449 0.7582 0.2754
9 O 0.2699 0.2699 0.2991
10 O 0.7301 0.7301 0.7009
11 O 0.7551 0.2418 0.7246
12 O 0.7582 0.2449 0.2754
13 O 0.7867 0.7867 0.3196

---

# MgTiMn3O8
Simulated X-ray powder pattern, Cu Kα X-rays. Input: a crystal structure in the Materials Project, relaxed with GGA+U.
No peak broadening, texture or thermal motion is included.

The 12 most intense peaks (2θ from 10° to 90°), low angle first:
- 17.87 deg, I 1000
- 18.21 deg, I 549
- 18.32 deg, I 367
- 33.73 deg, I 331
- 34.38 deg, I 175
- 35.25 deg, I 252
- 35.44 deg, I 232
- 36.08 deg, I 172
- 40.93 deg, I 426
- 42.95 deg, I 363
- 43.65 deg, I 348
- 60.82 deg, I 280

Lattice parameters (Å, degrees): 5.8887 5.9363 5.9564 118.32 117.97 90.86
Element x y z (fractional)
1 Mg 0.0000 0.0000 0.0000
2 Ti 0.6254 0.4002 0.2571
3 Mn 0.1260 0.3712 0.7444
4 Mn 0.6179 0.3720 0.7488
5 Mn 0.6211 0.8754 0.2382
6 O 0.3828 0.5851 0.7529
7 O 0.3983 0.1779 0.7958
8 O 0.4111 0.1500 0.2900
9 O 0.4193 0.6312 0.2547
10 O 0.8238 0.5933 0.1852
11 O 0.8393 0.1257 0.2440
12 O 0.8617 0.5882 0.7158
13 O 0.8683 0.1504 0.7387